Starting from a GGA-PBE-relaxed structure, the powder diffraction line list of Np2ScS5 was computed for λ = 1.5418 Å (Cu Kα).

Atomic structure:
a b c (Å): 5.122 8.687 14.668
angles (deg): 90.00 90.00 90.00
Space group Fmmm (No. 69)
Inequivalent atoms, fractional coordinates:
Np1 0.000 0.000 0.178 [8 per cell]
Sc1 0.000 0.000 0.500 [4 per cell]
S1 0.000 0.000 0.000 [4 per cell]
S2 0.000 0.164 0.348 [16 per cell]

Top 10 peaks for 2θ = 15–90°, by angle:
2theta  I/Imax  index
20.45  73  0 2 0
21.03  26  1 1 1
27.23  100  1 1 3
35.04  38  2 0 0
36.16  22  1 3 1
36.78  62  0 0 6
40.25  80  1 3 3
40.91  26  2 2 0
51.69  20  2 0 6
66.35  25  3 3 3